(1)
Computed X-ray powder pattern
Compound: CeErPd
Radiation: a wavelength of 1.5418 Å
Structure: DFT lattice parameters and positions (GGA-PBE)

Peak list (12 most intense, 10 to 90 degrees two-theta, most intense first)
| Position (°2θ) | I_rel | (hkl) |
| --- | --- | --- |
| 33.56 | 100.0 | 1 0 3 |
| 36.11 | 49.5 | 1 1 0 |
| 63.31 | 31.7 | 2 1 3 |
| 51.98 | 17.4 | 2 0 0 |
| 44.96 | 12.0 | 1 0 5 |
| 58.32 | 10.7 | 1 1 6 |
| 26.35 | 9.4 | 1 0 1 |
| 46.98 | 8.8 | 1 1 4 |
| 29.04 | 8.1 | 0 0 4 |
| 87.73 | 8.0 | 3 1 0 |
| 72.23 | 7.3 | 1 1 8 |
| 86.27 | 6.8 | 3 0 3 |

Atomic structure:
```
data_CeErPd
_chemical_formula_sum 'Ce2 Er2 Pd2'
_symmetry_space_group_name_H-M 'I 4 m m'
_symmetry_Int_Tables_number 107
_symmetry_space_group_name_Hall 'I 4 -2'
_cell_length_a 3.518
_cell_length_b 3.518
_cell_length_c 12.301
_cell_angle_alpha 90.00
_cell_angle_beta 90.00
_cell_angle_gamma 90.00
loop_
_atom_site_label
_atom_site_type_symbol
_atom_site_fract_x
_atom_site_fract_y
_atom_site_fract_z
Ce1 Ce 0.000 0.000 0.000
Er1 Er 0.000 0.000 0.282
Pd1 Pd 0.000 0.000 0.653
```



(2)
Computed X-ray powder pattern
Compound: CePm4Er4
Radiation: a wavelength of 1.5418 Å
Structure: DFT lattice parameters and positions (GGA-PBE)

Peak list (12 most intense, 10 to 90 degrees two-theta, most intense first)
| Position (°2θ) | I_rel | (hkl) |
| --- | --- | --- |
| 32.19 | 100.0 | 3 0 1 |
| 30.28 | 58.6 | 3 3 0 |
| 55.01 | 43.7 | 6 3 1 |
| 43.35 | 22.0 | 6 0 0 |
| 58.55 | 18.2 | 3 3 2 |
| 67.34 | 11.9 | 6 0 2 |
| 88.41 | 11.7 | 9 6 1 |
| 71.46 | 9.9 | 9 3 0 |
| 72.50 | 9.5 | 9 0 1 |
| 48.84 | 7.8 | 0 0 2 |
| 80.65 | 7.3 | 3 0 3 |
| 62.98 | 7.2 | 6 6 0 |

Atomic structure:
```
data_CePm4Er4
_chemical_formula_sum 'Ce2 Pm8 Er8'
_symmetry_space_group_name_H-M 'I 4/m m m'
_symmetry_Int_Tables_number 139
_symmetry_space_group_name_Hall '-I 4 2'
_cell_length_a 12.524
_cell_length_b 12.524
_cell_length_c 3.729
_cell_angle_alpha 90.00
_cell_angle_beta 90.00
_cell_angle_gamma 90.00
loop_
_atom_site_label
_atom_site_type_symbol
_atom_site_fract_x
_atom_site_fract_y
_atom_site_fract_z
Ce1 Ce 0.000 0.000 0.000
Pm1 Pm 0.000 0.328 0.000
Er1 Er 0.167 0.167 0.500
```



(3)
Computed X-ray powder pattern
Compound: CePm12Er7
Radiation: a wavelength of 1.5418 Å
Structure: DFT lattice parameters and positions (GGA-PBE)

Peak list (12 most intense, 10 to 90 degrees two-theta, most intense first)
| Position (°2θ) | I_rel | (hkl) |
| --- | --- | --- |
| 31.56 | 100.0 | 3 3 0 |
| 31.02 | 35.0 | 3 1 2 |
| 32.80 | 32.7 | 0 4 2 |
| 34.50 | 26.0 | 2 3 2 |
| 27.14 | 22.5 | 1 2 2 |
| 46.33 | 20.8 | 3 3 3 |
| 26.57 | 19.8 | 4 0 1 |
| 33.02 | 17.3 | 0 0 3 |
| 48.72 | 15.4 | 0 7 2 |
| 59.33 | 13.3 | 4 3 4 |
| 60.30 | 13.1 | 3 7 2 |
| 28.60 | 12.7 | 3 2 1 |

Atomic structure:
```
data_CePm12Er7
_chemical_formula_sum 'Ce3 Pm36 Er21'
_symmetry_space_group_name_H-M 'R -3 m'
_symmetry_Int_Tables_number 166
_symmetry_space_group_name_Hall '-R 3 2"'
_cell_length_a 17.0082
_cell_length_b 17.0082
_cell_length_c 8.1383
_cell_angle_alpha 90.00
_cell_angle_beta 90.00
_cell_angle_gamma 120.00
loop_
_atom_site_label
_atom_site_type_symbol
_atom_site_fract_x
_atom_site_fract_y
_atom_site_fract_z
Ce1 Ce 0.0000 0.0000 0.0000
Pm1 Pm 0.0000 0.2877 0.0000
Pm2 Pm 0.1069 0.5535 0.9625
Er1 Er 0.0000 0.0000 0.5000
Er2 Er 0.1099 0.2199 0.7283
```



(4)
Computed X-ray powder pattern
Compound: CePm4Er7
Radiation: a wavelength of 1.5418 Å
Structure: DFT lattice parameters and positions (GGA-PBE)

Peak list (12 most intense, 10 to 90 degrees two-theta, most intense first)
| Position (°2θ) | I_rel | (hkl) |
| --- | --- | --- |
| 31.78 | 100.0 | 1 -2 0 |
| 32.13 | 77.8 | 2 0 -1 |
| 31.06 | 35.8 | 2 0 2 |
| 30.53 | 31.6 | 0 0 3 |
| 56.98 | 15.6 | -3 2 1 |
| 32.57 | 15.5 | 0 1 3 |
| 46.49 | 12.4 | 3 2 1 |
| 55.45 | 10.7 | 3 -2 2 |
| 43.56 | 10.5 | 1 -2 3 |
| 45.67 | 10.4 | -1 2 3 |
| 35.07 | 10.2 | 1 -1 3 |
| 53.83 | 8.5 | 2 1 5 |

Atomic structure:
```
data_CePm4Er7
_chemical_formula_sum 'Ce1 Pm4 Er7'
_symmetry_space_group_name_H-M 'P -1'
_symmetry_Int_Tables_number 2
_symmetry_space_group_name_Hall '-P 1'
_cell_length_a 6.547
_cell_length_b 6.811
_cell_length_c 9.042
_cell_angle_alpha 84.59
_cell_angle_beta 76.77
_cell_angle_gamma 81.45
loop_
_atom_site_label
_atom_site_type_symbol
_atom_site_fract_x
_atom_site_fract_y
_atom_site_fract_z
Ce1 Ce 0.000 0.000 0.000
Pm1 Pm 0.167 0.614 0.309
Pm2 Pm 0.357 0.187 0.717
Er1 Er 0.000 0.500 0.000
Er2 Er 0.187 0.105 0.384
Er3 Er 0.321 0.696 0.642
Er4 Er 0.489 0.248 0.049
```



(5)
Computed X-ray powder pattern
Compound: CePm2Er4
Radiation: a wavelength of 1.5418 Å
Structure: DFT lattice parameters and positions (GGA-PBE)

Peak list (12 most intense, 10 to 90 degrees two-theta, most intense first)
| Position (°2θ) | I_rel | (hkl) |
| --- | --- | --- |
| 32.51 | 100.0 | 2 0 -4 |
| 33.24 | 99.0 | 2 0 3 |
| 31.21 | 63.0 | 0 0 7 |
| 61.08 | 50.7 | 3 1 6 |
| 51.08 | 42.7 | 0 2 0 |
| 28.87 | 32.3 | 1 1 0 |
| 57.31 | 21.7 | 2 0 10 |
| 55.89 | 20.2 | 2 0 -11 |
| 87.16 | 18.7 | 3 1 13 |
| 62.32 | 16.2 | 2 2 3 |
| 61.87 | 15.8 | 2 2 -4 |
| 28.98 | 14.2 | 1 1 -1 |

Atomic structure:
```
data_CePm2Er4
_chemical_formula_sum 'Ce2 Pm4 Er8'
_symmetry_space_group_name_H-M 'C 1 m 1'
_symmetry_Int_Tables_number 8
_symmetry_space_group_name_Hall 'C -2y'
_cell_length_a 6.196
_cell_length_b 3.575
_cell_length_c 20.170
_cell_angle_alpha 90.00
_cell_angle_beta 95.89
_cell_angle_gamma 90.00
loop_
_atom_site_label
_atom_site_type_symbol
_atom_site_fract_x
_atom_site_fract_y
_atom_site_fract_z
Ce1 Ce 0.000 0.000 0.000
Pm1 Pm 0.320 0.500 0.426
Pm2 Pm 0.410 0.500 0.714
Er1 Er 0.099 0.000 0.280
Er2 Er 0.126 0.500 0.858
Er3 Er 0.198 0.000 0.570
Er4 Er 0.220 0.500 0.142
```



(6)
Computed X-ray powder pattern
Compound: CePmEr4
Radiation: a wavelength of 1.5418 Å
Structure: DFT lattice parameters and positions (GGA-PBE)

Peak list (12 most intense, 10 to 90 degrees two-theta, most intense first)
| Position (°2θ) | I_rel | (hkl) |
| --- | --- | --- |
| 32.26 | 100.0 | 2 0 2 |
| 33.99 | 89.7 | 4 0 -2 |
| 31.60 | 50.9 | 6 0 0 |
| 29.18 | 34.1 | 1 1 -1 |
| 61.50 | 30.5 | 5 1 3 |
| 51.29 | 26.3 | 1 1 -3 |
| 55.55 | 20.8 | 8 0 2 |
| 61.64 | 15.2 | 6 2 0 |
| 29.85 | 14.7 | 1 1 1 |
| 51.45 | 13.1 | 0 2 0 |
| 88.14 | 12.8 | 11 1 3 |
| 58.94 | 12.7 | 9 1 1 |

Atomic structure:
```
data_CePmEr4
_chemical_formula_sum 'Ce2 Pm2 Er8'
_symmetry_space_group_name_H-M 'C 1 2/m 1'
_symmetry_Int_Tables_number 12
_symmetry_space_group_name_Hall '-C 2y'
_cell_length_a 17.115
_cell_length_b 3.552
_cell_length_c 6.176
_cell_angle_alpha 90.00
_cell_angle_beta 96.91
_cell_angle_gamma 90.00
loop_
_atom_site_label
_atom_site_type_symbol
_atom_site_fract_x
_atom_site_fract_y
_atom_site_fract_z
Ce1 Ce 0.000 0.000 0.000
Pm1 Pm 0.000 0.500 0.500
Er1 Er 0.167 0.500 0.891
Er2 Er 0.168 0.000 0.386
```



(7)
Computed X-ray powder pattern
Compound: CePm5Er
Radiation: a wavelength of 1.5418 Å
Structure: DFT lattice parameters and positions (GGA-PBE)

Peak list (12 most intense, 10 to 90 degrees two-theta, most intense first)
| Position (°2θ) | I_rel | (hkl) |
| --- | --- | --- |
| 15.28 | 100.0 | 2 0 0 |
| 30.78 | 53.1 | 0 0 2 |
| 30.91 | 52.6 | 4 0 0 |
| 29.71 | 50.5 | 2 2 -1 |
| 29.80 | 50.0 | 2 2 1 |
| 20.14 | 39.5 | 0 2 0 |
| 52.12 | 26.7 | 4 4 0 |
| 35.08 | 25.2 | 1 3 -1 |
| 44.06 | 19.8 | 4 0 -2 |
| 44.30 | 19.6 | 4 0 2 |
| 54.18 | 18.7 | 2 2 3 |
| 37.06 | 16.7 | 0 2 2 |

Atomic structure:
```
data_CePm5Er
_chemical_formula_sum 'Ce2 Pm10 Er2'
_symmetry_space_group_name_H-M 'C 1 2/m 1'
_symmetry_Int_Tables_number 12
_symmetry_space_group_name_Hall '-C 2y'
_cell_length_a 11.573
_cell_length_b 8.819
_cell_length_c 5.810
_cell_angle_alpha 90.00
_cell_angle_beta 90.29
_cell_angle_gamma 90.00
loop_
_atom_site_label
_atom_site_type_symbol
_atom_site_fract_x
_atom_site_fract_y
_atom_site_fract_z
Ce1 Ce 0.000 0.000 0.000
Pm1 Pm 0.000 0.000 0.500
Pm2 Pm 0.000 0.309 0.000
Pm3 Pm 0.248 0.000 0.005
Er1 Er 0.000 0.500 0.500
```



(8)
Computed X-ray powder pattern
Compound: CePm2ErRh2
Radiation: a wavelength of 1.5418 Å
Structure: DFT lattice parameters and positions (GGA-PBE)

Peak list (12 most intense, 10 to 90 degrees two-theta, most intense first)
| Position (°2θ) | I_rel | (hkl) |
| --- | --- | --- |
| 37.76 | 100.0 | 2 0 2 |
| 29.56 | 70.4 | 0 2 2 |
| 29.40 | 69.6 | 2 2 0 |
| 31.93 | 67.0 | 1 4 1 |
| 37.15 | 36.4 | 2 4 0 |
| 37.28 | 36.4 | 0 4 2 |
| 43.52 | 35.7 | 1 6 1 |
| 50.36 | 18.6 | 1 4 3 |
| 80.07 | 18.1 | 2 10 2 |
| 54.66 | 17.6 | 0 0 4 |
| 12.77 | 17.4 | 0 2 0 |
| 50.16 | 16.8 | 3 4 1 |

Atomic structure:
```
data_CePm2ErRh2
_chemical_formula_sum 'Ce4 Pm8 Er4 Rh8'
_symmetry_space_group_name_H-M 'I b a m'
_symmetry_Int_Tables_number 72
_symmetry_space_group_name_Hall '-I 2 2c'
_cell_length_a 6.760
_cell_length_b 13.867
_cell_length_c 6.716
_cell_angle_alpha 90.00
_cell_angle_beta 90.00
_cell_angle_gamma 90.00
loop_
_atom_site_label
_atom_site_type_symbol
_atom_site_fract_x
_atom_site_fract_y
_atom_site_fract_z
Ce1 Ce 0.000 0.000 0.250
Pm1 Pm 0.230 0.191 0.000
Er1 Er 0.000 0.500 0.250
Rh1 Rh 0.236 0.110 0.500
```



(9)
Computed X-ray powder pattern
Compound: Tb2CePmEr
Radiation: a wavelength of 1.5418 Å
Structure: DFT lattice parameters and positions (GGA-PBE)

Peak list (12 most intense, 10 to 90 degrees two-theta, most intense first)
| Position (°2θ) | I_rel | (hkl) |
| --- | --- | --- |
| 30.18 | 100.0 | 1 2 1 |
| 31.53 | 49.5 | 1 1 2 |
| 53.82 | 30.8 | 1 0 4 |
| 34.91 | 29.0 | 2 1 1 |
| 30.35 | 25.9 | 2 0 0 |
| 27.55 | 24.3 | 0 1 2 |
| 39.72 | 23.1 | 2 0 2 |
| 48.36 | 23.1 | 2 3 1 |
| 54.98 | 18.3 | 2 2 3 |
| 32.91 | 18.2 | 2 0 1 |
| 52.14 | 15.8 | 0 3 3 |
| 54.65 | 13.9 | 3 1 2 |

Atomic structure:
```
data_Tb2CePmEr
_chemical_formula_sum 'Tb4 Ce2 Pm2 Er2'
_symmetry_space_group_name_H-M 'P m m a'
_symmetry_Int_Tables_number 51
_symmetry_space_group_name_Hall '-P 2a 2a'
_cell_length_a 5.891
_cell_length_b 7.819
_cell_length_c 7.115
_cell_angle_alpha 90.00
_cell_angle_beta 90.00
_cell_angle_gamma 90.00
loop_
_atom_site_label
_atom_site_type_symbol
_atom_site_fract_x
_atom_site_fract_y
_atom_site_fract_z
Tb1 Tb 0.250 0.208 0.182
Ce1 Ce 0.000 0.500 0.500
Pm1 Pm 0.250 0.000 0.662
Er1 Er 0.250 0.500 0.892
```



(10)
Computed X-ray powder pattern
Compound: Tb5CePm2Er
Radiation: a wavelength of 1.5418 Å
Structure: DFT lattice parameters and positions (GGA-PBE)

Peak list (12 most intense, 10 to 90 degrees two-theta, most intense first)
| Position (°2θ) | I_rel | (hkl) |
| --- | --- | --- |
| 32.10 | 100.0 | 1 5 2 |
| 31.72 | 43.9 | 2 0 0 |
| 30.98 | 41.8 | 1 1 3 |
| 56.73 | 21.6 | 3 5 2 |
| 27.39 | 18.1 | 0 6 1 |
| 58.57 | 15.0 | 1 11 3 |
| 62.28 | 13.3 | 2 6 5 |
| 35.50 | 12.4 | 1 7 1 |
| 66.28 | 11.9 | 4 0 0 |
| 52.08 | 11.4 | 0 6 5 |
| 42.39 | 11.2 | 2 6 1 |
| 26.88 | 10.3 | 1 3 2 |

Atomic structure:
```
data_Tb5CePm2Er
_chemical_formula_sum 'Tb20 Ce4 Pm8 Er4'
_symmetry_space_group_name_H-M 'C m c 21'
_symmetry_Int_Tables_number 36
_symmetry_space_group_name_Hall 'C 2c -2'
_cell_length_a 5.642
_cell_length_b 20.609
_cell_length_c 10.216
_cell_angle_alpha 90.00
_cell_angle_beta 90.00
_cell_angle_gamma 90.00
loop_
_atom_site_label
_atom_site_type_symbol
_atom_site_fract_x
_atom_site_fract_y
_atom_site_fract_z
Tb1 Tb 0.000 0.015 0.000
Tb2 Tb 0.000 0.273 0.300
Tb3 Tb 0.000 0.301 0.687
Tb4 Tb 0.000 0.388 0.011
Tb5 Tb 0.000 0.478 0.724
Ce1 Ce 0.000 0.197 0.997
Pm1 Pm 0.000 0.114 0.303
Pm2 Pm 0.000 0.119 0.710
Er1 Er 0.000 0.407 0.431
```



(11)
Computed X-ray powder pattern
Compound: CePr8Er6
Radiation: a wavelength of 1.5418 Å
Structure: DFT lattice parameters and positions (GGA-PBE)

Peak list (12 most intense, 10 to 90 degrees two-theta, most intense first)
| Position (°2θ) | I_rel | (hkl) |
| --- | --- | --- |
| 31.39 | 100.0 | 2 1 1 |
| 29.91 | 22.1 | 0 0 2 |
| 48.64 | 21.5 | 1 4 0 |
| 41.08 | 20.4 | 3 -2 2 |
| 27.51 | 20.2 | 2 1 0 |
| 54.04 | 19.4 | 2 1 3 |
| 58.15 | 17.2 | 1 4 2 |
| 59.03 | 14.6 | 6 -4 1 |
| 79.90 | 9.4 | 7 0 1 |
| 82.65 | 7.7 | 1 4 4 |
| 75.64 | 6.3 | 4 2 3 |
| 65.50 | 5.7 | 4 2 2 |

Atomic structure:
```
data_CePr8Er6
_chemical_formula_sum 'Ce1 Pr8 Er6'
_symmetry_space_group_name_H-M 'P -3'
_symmetry_Int_Tables_number 147
_symmetry_space_group_name_Hall '-P 3'
_cell_length_a 9.9066
_cell_length_b 9.9066
_cell_length_c 5.9741
_cell_angle_alpha 90.00
_cell_angle_beta 90.00
_cell_angle_gamma 120.00
loop_
_atom_site_label
_atom_site_type_symbol
_atom_site_fract_x
_atom_site_fract_y
_atom_site_fract_z
Ce1 Ce 0.0000 0.0000 0.0000
Pr1 Pr 0.0507 0.2687 0.7302
Pr2 Pr 0.3333 0.6667 0.7231
Er1 Er 0.0932 0.4742 0.2430
```



(12)
Computed X-ray powder pattern
Compound: CePrEr14
Radiation: a wavelength of 1.5418 Å
Structure: DFT lattice parameters and positions (GGA-PBE)

Peak list (12 most intense, 10 to 90 degrees two-theta, most intense first)
| Position (°2θ) | I_rel | (hkl) |
| --- | --- | --- |
| 31.88 | 100.0 | 2 2 2 |
| 32.36 | 28.8 | 4 0 0 |
| 57.41 | 15.2 | 6 2 2 |
| 30.97 | 13.3 | 2 1 3 |
| 32.99 | 9.4 | 1 0 4 |
| 63.80 | 9.2 | 4 3 5 |
| 46.12 | 9.0 | 4 0 4 |
| 28.55 | 8.4 | 1 2 2 |
| 65.59 | 7.5 | 2 5 3 |
| 53.36 | 7.4 | 0 3 5 |
| 45.25 | 6.8 | 0 4 0 |
| 56.73 | 6.7 | 4 4 0 |

Atomic structure:
```
data_CePrEr14
_chemical_formula_sum 'Ce2 Pr2 Er28'
_symmetry_space_group_name_H-M 'A m m 2'
_symmetry_Int_Tables_number 38
_symmetry_space_group_name_Hall 'A 2 -2'
_cell_length_a 11.065
_cell_length_b 8.016
_cell_length_c 11.204
_cell_angle_alpha 90.00
_cell_angle_beta 90.00
_cell_angle_gamma 90.00
loop_
_atom_site_label
_atom_site_type_symbol
_atom_site_fract_x
_atom_site_fract_y
_atom_site_fract_z
Ce1 Ce 0.000 0.000 0.000
Pr1 Pr 0.000 0.000 0.561
Er1 Er 0.000 0.207 0.283
Er2 Er 0.237 0.000 0.764
Er3 Er 0.252 0.212 0.486
Er4 Er 0.267 0.000 0.211
Er5 Er 0.500 0.000 0.418
Er6 Er 0.500 0.000 0.967
Er7 Er 0.500 0.207 0.695
```